# Pt13Au2
Computed XRD peak list, Cu Kα. Input: DFT lattice parameters and positions (GGA-PBE).
Peak positions follow from Bragg's law for the DFT cell and can differ from measured ones.

Largest 10 diffraction maxima, by angle, 2θ from 10° to 90°:
- 2θ 30.80, rel. 23
- 2θ 38.37, rel. 53
- 2θ 38.75, rel. 51
- 2θ 39.12, rel. 100
- 2θ 39.65, rel. 22
- 2θ 40.13, rel. 20
- 2θ 50.72, rel. 20
- 2θ 51.52, rel. 20
- 2θ 54.47, rel. 54
- 2θ 77.45, rel. 31

Unit cell a=7.0948 b=7.0948 c=17.7684 alpha=90.00 beta=90.00 gamma=120.00
Space group R-3m (No. 166, hexagonal axes)
Unique sites:
Pt 0.0000 0.0000 0.0000 (multiplicity 3)
Pt 0.0790 0.5395 0.3814 (multiplicity 18)
Pt 0.0802 0.5401 0.2303 (multiplicity 18)
Au 0.0000 0.0000 0.1589 (multiplicity 6)